Sr2FeCuPb2O6: computed X-ray diffraction stick pattern (Cu Kα X-rays), based on a crystal structure in Alexandria, relaxed with GGA+U.
Lines closer than 0.1° are merged.

Principal peaks in the range 2θ = 10–90°, low angle first:
2θ = 22.51°, rel. 15.3, (1 0 1)
2θ = 23.66°, rel. 20.5, (1 1 1)
2θ = 31.43°, rel. 100.0, (1 3 1)
2θ = 31.66°, rel. 36.0, (0 0 2)
2θ = 32.44°, rel. 39.7, (2 0 0)
2θ = 44.09°, rel. 21.4, (0 6 0)
2θ = 45.95°, rel. 30.0, (2 0 2)
2θ = 55.29°, rel. 16.0, (0 6 2)
2θ = 56.25°, rel. 20.2, (1 3 3)
2θ = 57.22°, rel. 19.0, (3 3 1)

Structural model:
Unit cell a=5.5217 b=12.3128 c=5.6523 alpha=90.00 beta=90.00 gamma=90.00
Space group Pmna (No. 53)
Unique sites:
Sr: 0.0000 0.1424 0.0034 [4 per cell]
Fe: 0.0000 0.0000 0.5000 [2 per cell]
Cu: 0.0000 0.5000 0.0000 [2 per cell]
Pb: 0.0000 0.3543 0.5154 [4 per cell]
O: 0.0000 0.1775 0.4859 [4 per cell]
O: 0.0000 0.3530 0.9286 [4 per cell]
O: 0.2500 0.0033 0.7500 [4 per cell]